The following is a theoretical powder diffraction line list of CsSmCrF6. It was derived from DFT lattice parameters and positions (PBE+U), using Cu Kα (λ = 1.5418 Å).

Principal peaks in the range 10° ≤ 2θ ≤ 90°, in order of falling intensity:
- 2θ 25.2, I = 100
- 2θ 27.6, I = 38
- 2θ 15.2, I = 37
- 2θ 33.3, I = 20
- 2θ 51.7, I = 20
- 2θ 41.6, I = 17
- 2θ 22.9, I = 13
- 2θ 26.4, I = 13
- 2θ 39.5, I = 13
- 2θ 44.3, I = 12

Atomic structure:
a b c (Å): 7.7688 8.4538 11.6847
angles (deg): 90.00 90.00 90.00
Space group Imma (No. 74)
Inequivalent atoms, fractional coordinates:
Cs: 0.0000 0.2500 0.0563 (multiplicity 4)
Sm: 0.0000 0.0000 0.5000 (multiplicity 4)
Cr: 0.2500 0.2500 0.7500 (multiplicity 4)
F: 0.0000 0.2500 0.4257 (multiplicity 4)
F: 0.0000 0.2500 0.7899 (multiplicity 4)
F: 0.2182 0.0694 0.6154 (multiplicity 16)